For SiB3C, a structure optimized by DFT (PBE) gives the simulated X-ray powder pattern in this record (Cu Ka).

The 6 most intense peaks (15° ≤ 2θ ≤ 90°), low angle first:
2θ/deg, Rel. int.
29.95, 50
30.36, 61
35.35, 100
35.77, 40
37.45, 47
62.14, 28

Structural model:
```
data_SiB3C
_cell_length_a 6.2048
_cell_length_b 2.8143
_cell_length_c 5.2908
_cell_angle_alpha 90.00
_cell_angle_beta 108.39
_cell_angle_gamma 90.00
_symmetry_space_group_name_H-M 'C 1 m 1'
_symmetry_Int_Tables_number 8
_symmetry_space_group_name_Hall 'C -2y'
loop_
_atom_site_label
_atom_site_fract_x
_atom_site_fract_y
_atom_site_fract_z
_atom_site_occupancy
Si1 0.0000 0.0000 0.0000 1
B1 0.0334 0.0000 0.6027 1
B2 0.1561 0.5000 0.8303 1
B3 0.2284 0.5000 0.5070 1
C1 0.1376 0.0000 0.3667 1
```